Calculated powder X-ray diffraction pattern of TbPm2Sc2 for Cu Ka, from a PBE-relaxed structure.
No peak broadening, texture or thermal motion is included.

Atomic structure:
Cell lengths 7.965, 7.965, 7.965 Å; angles 138.18, 88.01, 106.82 degrees
Atoms (fractional coordinates):
1 Tb 0.395 0.145 0.250
2 Tb 0.605 0.855 0.750
3 Pm 0.088 0.164 0.924
4 Pm 0.261 0.836 0.424
5 Pm 0.739 0.164 0.576
6 Pm 0.912 0.836 0.076
7 Sc 0.168 0.553 0.615
8 Sc 0.438 0.553 0.885
9 Sc 0.562 0.447 0.115
10 Sc 0.832 0.447 0.385

Peak list (8 most intense, 2θ = 10–90°, in order of falling intensity)
34.00 deg, 2.637 Å, I 100; 32.37 deg, 2.765 Å, I 66; 25.13 deg, 3.543 Å, I 64; 31.47 deg, 2.843 Å, I 44; 40.69 deg, 2.217 Å, I 36; 18.19 deg, 4.878 Å, I 29; 57.67 deg, 1.599 Å, I 22; 58.76 deg, 1.571 Å, I 20